[1]
Calculated PXRD pattern
Compound: LaPrI2BrN
Radiation: CuKα
Structure: a structure optimized by DFT (PBE)

Most intense lines, 15° ≤ 2θ ≤ 90°, low angle first:
2θ 24.99, I 63.9, hkl 1 1 1; 2θ 25.13, I 32.3, hkl 3 1 -1; 2θ 26.15, I 44.6, hkl 1 1 -2; 2θ 28.09, I 53.9, hkl 4 0 -4; 2θ 28.39, I 54.9, hkl 6 0 -1; 2θ 30.34, I 100.0, hkl 1 1 2; 2θ 32.30, I 46.4, hkl 5 1 -3; 2θ 35.93, I 67.6, hkl 6 0 -5; 2θ 37.81, I 47.4, hkl 7 1 -3; 2θ 43.59, I 34.6, hkl 0 2 0

abc: 20.4478 4.1529 12.6973
angles: 90.00 127.04 90.00
Space group C2/m (No. 12)
Symmetry-distinct sites (fractional):
La (0.1362, 0.0000, 0.2853) (multiplicity 4)
Pr (0.0709, 0.5000, 0.9624) (multiplicity 4)
I (0.0334, 0.0000, 0.7374) (multiplicity 4)
I (0.2214, 0.0000, 0.1310) (multiplicity 4)
Br (0.1741, 0.5000, 0.5018) (multiplicity 4)
N (0.0736, 0.5000, 0.1525) (multiplicity 4)

[2]
Calculated PXRD pattern
Compound: LaPuI2BrN
Radiation: CuKα
Structure: a structure optimized by DFT (PBE)

Most intense lines, 15° ≤ 2θ ≤ 90°, low angle first:
2θ 25.00, I 48.0, hkl 1 1 1; 2θ 26.45, I 74.7, hkl 1 1 -2; 2θ 29.95, I 100.0, hkl 6 0 -1; 2θ 30.29, I 95.8, hkl 1 1 2; 2θ 32.21, I 39.7, hkl 5 1 -2; 2θ 34.10, I 53.8, hkl 5 1 -3; 2θ 40.30, I 43.5, hkl 7 1 -3; 2θ 40.41, I 38.1, hkl 5 1 1; 2θ 43.73, I 32.9, hkl 0 2 0; 2θ 53.92, I 42.0, hkl 6 2 -1

abc: 18.8562 4.1398 12.0000
angles: 90.00 122.60 90.00
Space group C2/m (No. 12)
Symmetry-distinct sites (fractional):
La (0.1278, 0.0000, 0.2755) (multiplicity 4)
Pu (0.0753, 0.5000, 0.9631) (multiplicity 4)
I (0.0512, 0.0000, 0.7423) (multiplicity 4)
I (0.1622, 0.5000, 0.5180) (multiplicity 4)
Br (0.2080, 0.0000, 0.1128) (multiplicity 4)
N (0.0642, 0.5000, 0.1386) (multiplicity 4)

[3]
Calculated PXRD pattern
Compound: MoIBr4
Radiation: CuKα
Structure: a structure optimized by DFT (PBE)

Most intense lines, 15° ≤ 2θ ≤ 90°, low angle first:
2θ 15.50, I 22.3, hkl 1 -1 0; 2θ 16.91, I 18.3, hkl 1 -1 1; 2θ 29.44, I 34.3, hkl 0 2 -2; 2θ 30.39, I 58.6, hkl 1 1 1; 2θ 30.67, I 100.0, hkl 1 0 -3; 2θ 30.90, I 24.7, hkl 1 -1 3; 2θ 31.25, I 46.7, hkl 2 -2 1; 2θ 40.93, I 16.4, hkl 2 -3 2; 2θ 47.15, I 20.7, hkl 0 1 4; 2θ 47.78, I 38.1, hkl 3 -1 2

abc: 6.5688 7.1201 9.7672
angles: 107.80 90.69 116.25
Space group P-1 (No. 2)
Symmetry-distinct sites (fractional):
Mo (0.1128, 0.2265, 0.2268) (multiplicity 2)
I (0.2643, 0.1972, 0.9517) (multiplicity 2)
Br (0.0748, 0.8130, 0.5627) (multiplicity 2)
Br (0.1118, 0.6080, 0.8445) (multiplicity 2)
Br (0.3093, 0.0118, 0.2561) (multiplicity 2)
Br (0.4523, 0.5845, 0.3417) (multiplicity 2)

[4]
Calculated PXRD pattern
Compound: Nd4IBr4N2
Radiation: CuKα
Structure: a structure optimized by DFT (PBE)

Most intense lines, 15° ≤ 2θ ≤ 90°, low angle first:
2θ 28.18, I 34.7, hkl 3 1 -1; 2θ 29.19, I 71.5, hkl 6 0 0; 2θ 31.13, I 26.5, hkl 3 1 1; 2θ 31.40, I 100.0, hkl 1 1 -2; 2θ 32.98, I 18.7, hkl 4 0 -3; 2θ 36.42, I 15.9, hkl 2 0 3; 2θ 42.67, I 37.4, hkl 7 1 -2; 2θ 44.11, I 38.9, hkl 5 1 2; 2θ 47.83, I 19.8, hkl 0 2 0; 2θ 57.02, I 21.2, hkl 6 2 0

abc: 19.0775 3.8029 8.6128
angles: 90.00 105.78 90.00
Space group C2/m (No. 12)
Symmetry-distinct sites (fractional):
Nd (0.0005, 0.0000, 0.1887) (multiplicity 4)
Nd (0.1613, 0.5000, 0.1026) (multiplicity 4)
I (0.0000, 0.5000, 0.5000) (multiplicity 2)
Br (0.1614, 0.0000, 0.3714) (multiplicity 4)
Br (0.1683, 0.0000, 0.8277) (multiplicity 4)
N (0.0376, 0.5000, 0.0229) (multiplicity 4)